Computed powder XRD pattern of IrC4 for Cu Kα, from a DFT-relaxed cell (PBE, the Materials Project).

Top 10 peaks for 2θ = 10–80°, by angle:
2theta, I (rel.), hkl
21.7, 77, 1 0 0
28.5, 100, 0 1 1
32.6, 34, 0 0 2
34.3, 73, 1 1 -1
36.2, 33, 1 0 -2
37.8, 72, 1 1 1
42.6, 20, 1 0 2
51.0, 37, 2 0 -2
52.9, 20, 1 2 0
55.7, 19, 0 1 3

Crystal structure
```
IrC4
1.0
4.1476 0.0000 0.0000
0.0000 3.8213 0.0000
-0.9361 0.0000 5.4938
Ir C
2 8
direct
0.0000 0.0000 0.0000 Ir
0.0000 0.5000 0.5000 Ir
0.3078 0.1694 0.7649 C
0.3078 0.3306 0.2649 C
0.4519 0.5799 0.1081 C
0.4519 0.9201 0.6081 C
0.5481 0.0799 0.3919 C
0.5481 0.4201 0.8919 C
0.6922 0.6694 0.7351 C
0.6922 0.8306 0.2351 C
```